# 1
This entry pairs a crystal structure of SrSn7N10 with its theoretical powder diffractogram. Radiation: Cu Kα, 1.54184 Å. Structure: a GGA-PBE-relaxed structure.
Neutral-atom scattering factors, no anomalous dispersion.

Top 10 peaks for 2θ from 5° to 70°, in order of falling intensity:
- 2θ 33.4, rel. 100
- 2θ 25.3, rel. 79
- 2θ 31.9, rel. 71
- 2θ 26.7, rel. 45
- 2θ 16.5, rel. 44
- 2θ 27.1, rel. 39
- 2θ 34.1, rel. 36
- 2θ 11.7, rel. 31
- 2θ 56.4, rel. 29
- 2θ 13.6, rel. 28

abc: 7.845 8.050 11.451
angles: 90.00 105.74 90.00
Element x y z (fractional)
Sr  0.000  0.028  0.000
Sr  0.000  0.972  0.500
Sn  0.145  0.394  0.892
Sn  0.145  0.606  0.392
Sn  0.332  0.376  0.203
Sn  0.332  0.624  0.703
Sn  0.373  0.024  0.838
Sn  0.373  0.976  0.338
Sn  0.519  0.364  0.508
Sn  0.519  0.636  0.008
Sn  0.573  0.030  0.143
Sn  0.573  0.970  0.643
Sn  0.697  0.351  0.818
Sn  0.697  0.649  0.318
Sn  0.875  0.380  0.133
Sn  0.875  0.620  0.633
N  0.112  0.415  0.266
N  0.112  0.585  0.766
N  0.157  0.149  0.850
N  0.157  0.851  0.350
N  0.321  0.494  0.043
N  0.321  0.506  0.543
N  0.334  0.122  0.177
N  0.334  0.878  0.677
N  0.454  0.119  0.495
N  0.454  0.881  0.995
N  0.538  0.456  0.344
N  0.538  0.544  0.844
N  0.608  0.111  0.803
N  0.608  0.889  0.303
N  0.744  0.401  0.650
N  0.744  0.599  0.150
N  0.796  0.139  0.127
N  0.796  0.861  0.627
N  0.924  0.360  0.960
N  0.924  0.640  0.460

***

# 2
This entry pairs a crystal structure of CsCuN with its theoretical powder diffractogram. Radiation: Cu Kα, 1.54184 Å. Structure: a GGA-PBE-relaxed structure.
Neutral-atom scattering factors, no anomalous dispersion.

Top 10 peaks for 2θ from 5° to 70°, in order of falling intensity:
- 2θ 26.8, rel. 100
- 2θ 29.1, rel. 93
- 2θ 28.3, rel. 55
- 2θ 48.7, rel. 53
- 2θ 29.3, rel. 51
- 2θ 37.9, rel. 41
- 2θ 40.3, rel. 28
- 2θ 27.2, rel. 26
- 2θ 58.1, rel. 22
- 2θ 33.8, rel. 21

abc: 11.601 3.614 6.550
angles: 90.00 90.00 90.00
Element x y z (fractional)
Cs  0.158  0.250  0.071
Cs  0.342  0.750  0.571
Cs  0.658  0.250  0.429
Cs  0.842  0.750  0.929
Cu  0.058  0.250  0.593
Cu  0.442  0.750  0.093
Cu  0.558  0.250  0.907
Cu  0.942  0.750  0.407
N  0.074  0.750  0.638
N  0.426  0.250  0.138
N  0.574  0.750  0.862
N  0.926  0.250  0.362

***

# 3
This entry pairs a crystal structure of Ho2AlRu with its theoretical powder diffractogram. Radiation: Cu Kα, 1.54184 Å. Structure: a GGA-PBE-relaxed structure.
Neutral-atom scattering factors, no anomalous dispersion.

Top 9 peaks for 2θ from 5° to 70°, in order of falling intensity:
- 2θ 36.5, rel. 100
- 2θ 65.6, rel. 36
- 2θ 25.6, rel. 23
- 2θ 52.5, rel. 18
- 2θ 59.3, rel. 9
- 2θ 45.1, rel. 7
- 2θ 22.1, rel. 7
- 2θ 43.0, rel. 3
- 2θ 57.6, rel. 1

abc: 4.929 4.929 4.929
angles: 60.00 60.00 60.00
Element x y z (fractional)
Ho  0.250  0.250  0.250
Ho  0.750  0.750  0.750
Al  0.000  0.000  0.000
Ru  0.500  0.500  0.500